No. 1
The following is a calculated X-ray diffraction stick pattern of MgMn6O6F6. It was derived from the PBE+U geometry in the Materials Project, using λ = 1.5418 Å (Cu Kα).
Kinematic intensities with the Lorentz-polarization factor, no thermal factor.

Main lines, by angle (10° ≤ 2θ ≤ 80°):
| 2θ (°) | I/Imax |
| --- | --- |
| 22.9 | 93.6 |
| 27.2 | 100.0 |
| 27.7 | 38.7 |
| 33.8 | 51.7 |
| 34.8 | 75.7 |
| 51.7 | 45.7 |

Cell and atoms:
```
19
Lattice="3.0700 0.0000 0.0000 0.0016 5.3581 0.0000 0.0073 2.4185 14.3101" Properties=species:S:1:pos:R:3 pbc="T T T"
Mg 0.0000 0.0000 0.0000
Mn 1.4769 1.5519 7.1341
Mn 1.4961 0.8553 2.7951
Mn 1.5044 6.9502 11.5149
Mn 2.8770 5.0964 14.2938
Mn 3.0207 3.9558 9.3447
Mn 3.0189 3.8261 4.9193
O 1.4812 3.1852 8.4791
O 3.0124 2.2983 6.1671
O 3.0302 5.2984 3.6069
O 3.0358 2.5046 10.7090
O 3.0336 1.3552 1.4737
O 3.0423 6.4339 12.8151
F 1.4813 4.8366 5.8876
F 1.4873 2.8061 3.8201
F 1.4977 5.0525 10.4162
F 1.5102 3.5426 13.4869
F 1.5068 4.2318 0.7975
F 3.0141 5.8290 8.1245
```

---

No. 2
The following is a calculated X-ray diffraction stick pattern of MgMn12O14F10. It was derived from the PBE+U geometry in the Materials Project, using λ = 1.5418 Å (Cu Kα).
Kinematic intensities with the Lorentz-polarization factor, no thermal factor.

Main lines, by angle (10° ≤ 2θ ≤ 80°):
| 2θ (°) | I/Imax |
| --- | --- |
| 24.1 | 100.0 |
| 29.7 | 91.8 |
| 30.1 | 94.4 |
| 52.2 | 49.7 |
| 52.5 | 37.0 |
| 53.0 | 38.3 |

Cell and atoms:
```
37
Lattice="4.8175 0.0000 0.0000 0.0111 5.7336 0.0000 0.0014 0.3168 15.3116" Properties=species:S:1:pos:R:3 pbc="T T T"
Mg 0.0000 0.0000 0.0000
Mn 2.2186 0.6312 10.1594
Mn 2.2442 4.6314 12.7844
Mn 2.2765 4.3832 2.6336
Mn 2.2792 0.4188 5.1860
Mn 2.3399 4.5786 7.6030
Mn 2.4083 0.7436 15.2938
Mn 4.4652 3.3837 9.9696
Mn 4.5002 1.5084 7.4678
Mn 4.5252 1.6243 12.4866
Mn 4.6181 3.4832 5.0403
Mn 4.6841 3.3634 15.0394
Mn 4.7685 1.5866 2.5674
O 1.1712 0.3895 11.8186
O 1.2107 4.7510 14.4461
O 1.2134 4.7421 4.2384
O 1.2101 0.2665 6.7289
O 1.2758 0.1929 1.5600
O 3.2724 0.2342 8.5377
O 3.3340 4.7700 5.9901
O 3.4792 3.1761 8.3376
O 3.5040 0.3736 13.7712
O 3.5110 1.9339 10.8426
O 3.5955 3.1900 13.4554
O 3.5970 1.7940 5.8404
O 3.7044 3.1862 3.3689
O 3.7821 1.5846 0.7247
F 0.8332 1.7524 9.0910
F 0.8704 3.2534 11.5960
F 0.9629 3.2372 6.7113
F 1.0039 1.7867 14.2158
F 1.0757 3.0345 1.4220
F 1.0965 4.6591 9.2526
F 1.1588 1.8102 4.2507
F 3.3206 4.7703 11.1093
F 3.4002 0.3015 3.5138
F 3.5745 4.4993 0.9299
```

---

No. 3
The following is a calculated X-ray diffraction stick pattern of MgMn2P2O8F2. It was derived from the PBE+U geometry in the Materials Project, using λ = 1.5418 Å (Cu Kα).
Kinematic intensities with the Lorentz-polarization factor, no thermal factor.

Main lines, by angle (10° ≤ 2θ ≤ 80°):
| 2θ (°) | I/Imax |
| --- | --- |
| 17.8 | 64.6 |
| 17.9 | 50.0 |
| 18.4 | 64.2 |
| 26.0 | 86.5 |
| 26.7 | 56.3 |
| 28.9 | 100.0 |

Cell and atoms:
```
15
Lattice="5.2030 0.0000 0.0000 -0.7448 5.3678 0.0000 -2.3110 -2.6089 6.6337" Properties=species:S:1:pos:R:3 pbc="T T T"
Mg 0.0000 0.0000 0.0000
Mn 1.3980 3.5171 1.1604
Mn 3.2194 -0.3429 4.3359
P 0.6939 0.5780 2.6826
P 0.5338 -1.3176 6.1560
O -0.8416 -1.5758 5.4557
O -0.4356 0.5926 3.7206
O 0.4809 1.5924 1.5340
O -0.0615 4.5690 1.8946
O 2.8319 2.6734 0.2046
O 3.1487 0.0942 0.4518
O 2.0318 0.8297 3.4071
O 1.7778 -1.3714 5.2044
F -2.0488 1.0869 6.1419
F 2.4096 3.6465 2.7511
```

---

No. 4
The following is a calculated X-ray diffraction stick pattern of MgMn2P2O8F2. It was derived from the PBE+U geometry in the Materials Project, using λ = 1.5418 Å (Cu Kα).
Kinematic intensities with the Lorentz-polarization factor, no thermal factor.

Main lines, by angle (10° ≤ 2θ ≤ 80°):
| 2θ (°) | I/Imax |
| --- | --- |
| 18.5 | 43.9 |
| 22.1 | 21.4 |
| 25.4 | 100.0 |
| 26.4 | 64.6 |
| 29.3 | 76.5 |
| 36.3 | 27.8 |

Cell and atoms:
```
15
Lattice="5.2321 0.0000 0.0000 -0.7136 5.4266 0.0000 -2.2107 -2.3400 6.5722" Properties=species:S:1:pos:R:3 pbc="T T T"
Mg 0.0000 0.0000 0.0000
Mn -1.0608 2.9869 2.0177
Mn 0.7420 -0.8759 5.1191
P 1.6570 4.0882 0.2828
P 1.5000 1.7886 3.5771
O 0.4082 4.0844 1.2421
O 0.1273 1.7361 2.8444
O -0.9230 3.0903 6.0956
O -0.5290 0.5189 5.9886
O 1.7816 0.3712 4.1516
O 1.5046 2.8369 4.7214
O 2.5829 2.0493 2.5106
O 3.0352 4.3262 0.9872
F -0.4183 -1.1930 3.6539
F 4.2457 1.6539 0.1184
```

---

No. 5
The following is a calculated X-ray diffraction stick pattern of MgMn2P2O8F2. It was derived from the PBE+U geometry in the Materials Project, using λ = 1.5418 Å (Cu Kα).
Kinematic intensities with the Lorentz-polarization factor, no thermal factor.

Main lines, by angle (10° ≤ 2θ ≤ 80°):
| 2θ (°) | I/Imax |
| --- | --- |
| 18.9 | 60.0 |
| 25.8 | 41.1 |
| 26.0 | 100.0 |
| 27.5 | 52.1 |
| 28.6 | 53.3 |
| 55.6 | 25.2 |

Cell and atoms:
```
15
Lattice="5.1467 0.0000 0.0000 -0.1347 5.4269 0.0000 -2.1138 -2.5011 6.5583" Properties=species:S:1:pos:R:3 pbc="T T T"
Mg 0.0000 0.0000 0.0000
Mn -0.0673 2.7134 0.0000
Mn 1.5164 -1.2506 3.2792
P 0.3830 1.3553 4.8871
P 2.5152 1.5704 1.6713
O -0.9497 1.4952 5.7098
O 1.3177 1.4699 0.6480
O 0.3418 -0.0381 4.2469
O 0.4322 2.5490 3.9397
O 2.4660 0.3767 2.6187
O 2.5564 2.9638 2.3114
O 1.5805 1.4559 5.9103
O 3.8479 1.4305 0.8485
F 0.0936 4.2135 1.5267
F 2.8046 -1.2878 5.0316
```

---

No. 6
The following is a calculated X-ray diffraction stick pattern of Na3MgMoO3F3. It was derived from the PBE+U geometry in the Materials Project, using λ = 1.5418 Å (Cu Kα).
Kinematic intensities with the Lorentz-polarization factor, no thermal factor.

Main lines, by angle (10° ≤ 2θ ≤ 80°):
| 2θ (°) | I/Imax |
| --- | --- |
| 18.2 | 87.4 |
| 19.4 | 63.1 |
| 19.6 | 86.1 |
| 30.3 | 100.0 |
| 39.9 | 86.3 |
| 42.0 | 76.6 |

Cell and atoms:
```
11
Lattice="5.6722 0.0000 0.0000 -1.2274 5.5825 0.0000 -2.6665 -2.2896 4.5359" Properties=species:S:1:pos:R:3 pbc="T T T"
Na 0.0000 0.0000 0.0000
Na -0.6567 2.5150 1.5576
Na 2.3449 1.0613 2.3290
Mg 2.0053 3.8821 0.7367
Mo -0.0576 -0.7216 3.5373
O 1.2383 2.0503 0.3788
O -0.5399 3.2014 4.0855
O 0.9891 0.7678 4.2205
F -1.1211 0.3729 2.0561
F 0.2576 4.5996 1.6953
F 2.8733 3.4041 2.5060
```

---

No. 7
The following is a calculated X-ray diffraction stick pattern of Na3MgMoO3F3. It was derived from the PBE+U geometry in the Materials Project, using λ = 1.5418 Å (Cu Kα).
Kinematic intensities with the Lorentz-polarization factor, no thermal factor.

Main lines, by angle (10° ≤ 2θ ≤ 80°):
| 2θ (°) | I/Imax |
| --- | --- |
| 19.0 | 100.0 |
| 21.3 | 45.0 |
| 28.9 | 39.5 |
| 31.7 | 58.2 |
| 36.0 | 40.7 |
| 47.0 | 68.1 |

Cell and atoms:
```
11
Lattice="2.8242 1.6305 5.3035 -2.8242 1.6305 5.3035 0.0000 -3.2611 5.3035" Properties=species:S:1:pos:R:3 pbc="T T T"
Na 0.0000 0.0000 0.0000
Na 0.0000 0.0000 2.7028
Na 0.0000 0.0000 11.6180
Mg 0.0000 0.0000 5.4860
Mo 0.0000 0.0000 8.0967
O -0.6483 -1.4170 6.9124
O -0.9031 1.2699 6.9124
O 1.5513 0.1471 6.9124
F -1.7373 0.2883 9.6083
F 0.6190 -1.6487 9.6083
F 1.1183 1.3604 9.6083
```

---

No. 8
The following is a calculated X-ray diffraction stick pattern of Na3MgMoO3F3. It was derived from the PBE+U geometry in the Materials Project, using λ = 1.5418 Å (Cu Kα).
Kinematic intensities with the Lorentz-polarization factor, no thermal factor.

Main lines, by angle (10° ≤ 2θ ≤ 80°):
| 2θ (°) | I/Imax |
| --- | --- |
| 16.0 | 100.0 |
| 20.2 | 59.2 |
| 29.4 | 66.2 |
| 31.1 | 50.9 |
| 31.6 | 49.9 |
| 33.5 | 62.1 |

Cell and atoms:
```
11
Lattice="5.5630 0.0000 0.0000 -2.4665 5.2382 0.0000 -2.6008 -1.7829 5.5527" Properties=species:S:1:pos:R:3 pbc="T T T"
Na 0.0000 0.0000 0.0000
Na -2.7084 1.3383 4.1290
Na 2.6847 1.5122 1.1488
Mg -0.3452 3.0687 2.2503
Mo -0.0335 -0.2552 3.2321
O -0.8089 1.0987 2.0930
O -1.0729 -0.2672 4.7720
O 1.7392 -0.1452 2.5858
F -1.2896 3.2998 0.4951
F -1.3174 3.1261 4.1195
F 1.5785 3.0112 2.5734
```

---

No. 9
The following is a calculated X-ray diffraction stick pattern of Na3MgMoO3F3. It was derived from the PBE+U geometry in the Materials Project, using λ = 1.5418 Å (Cu Kα).
Kinematic intensities with the Lorentz-polarization factor, no thermal factor.

Main lines, by angle (10° ≤ 2θ ≤ 80°):
| 2θ (°) | I/Imax |
| --- | --- |
| 16.0 | 100.0 |
| 19.1 | 38.4 |
| 31.8 | 35.4 |
| 32.2 | 60.1 |
| 32.3 | 32.7 |
| 35.6 | 35.3 |

Cell and atoms:
```
11
Lattice="5.5479 0.0000 0.0000 -2.7095 4.8551 0.0000 -2.5580 -1.6530 5.5435" Properties=species:S:1:pos:R:3 pbc="T T T"
Na 0.0000 0.0000 0.0000
Na -2.6531 1.5710 3.4085
Na 0.1342 -0.0514 3.0080
Mg 2.8481 1.5546 0.5303
Mo 0.1536 3.2176 1.1678
O -1.6811 3.1196 1.5468
O 1.1817 1.6967 1.7478
O 3.7182 0.0337 1.6536
F -3.1758 3.3368 4.8190
F -0.9289 1.3280 5.0137
F 1.7722 0.0846 4.7222
```

---

No. 10
The following is a calculated X-ray diffraction stick pattern of Na2MgVF7. It was derived from the PBE+U geometry in the Materials Project, using λ = 1.5418 Å (Cu Kα).
Kinematic intensities with the Lorentz-polarization factor, no thermal factor.

Main lines, by angle (10° ≤ 2θ ≤ 80°):
| 2θ (°) | I/Imax |
| --- | --- |
| 16.9 | 50.0 |
| 24.0 | 37.5 |
| 29.2 | 100.0 |
| 29.8 | 78.8 |
| 49.2 | 92.0 |
| 57.7 | 36.5 |

Cell and atoms:
```
22
Lattice="-3.6605 5.2255 3.7790 3.6605 -5.2255 3.7790 3.6605 5.2255 -3.7790" Properties=species:S:1:pos:R:3 pbc="T T T"
Na 0.0000 0.0000 0.0000
Na -1.8303 2.6128 1.8895
Na 0.0000 5.2255 0.0000
Na 1.8303 2.6128 1.8895
Mg 1.8303 2.6128 -1.8895
Mg 1.8303 -2.6128 1.8895
V 3.6605 0.0000 0.0000
V 0.0000 0.0000 3.7790
F 2.2003 1.2178 -0.4965
F 5.1207 1.2178 -0.4965
F 3.6605 -2.6128 2.5718
F 2.2003 4.0078 -0.4965
F 1.4602 -1.2178 3.2826
F 3.6605 0.9756 1.7418
F 0.0000 0.9756 2.0372
F 3.6605 4.2499 1.7418
F 0.0000 4.2499 2.0372
F 2.2003 6.4433 0.4965
F 1.4602 1.2178 4.2755
F 0.0000 7.8383 1.2073
F -1.4602 4.0078 4.2755
F 1.4602 4.0078 4.2755
```

---

No. 11
The following is a calculated X-ray diffraction stick pattern of MgNiF6. It was derived from the PBE+U geometry in the Materials Project, using λ = 1.5418 Å (Cu Kα).
Kinematic intensities with the Lorentz-polarization factor, no thermal factor.

Main lines, by angle (10° ≤ 2θ ≤ 80°):
| 2θ (°) | I/Imax |
| --- | --- |
| 21.9 | 31.2 |
| 24.8 | 100.0 |
| 34.5 | 22.5 |
| 42.0 | 40.8 |
| 51.0 | 16.0 |
| 56.2 | 33.0 |

Cell and atoms:
```
8
Lattice="2.4698 1.4260 4.3743 -2.4698 1.4260 4.3743 0.0000 -2.8519 4.3743" Properties=species:S:1:pos:R:3 pbc="T T T"
Mg 0.0000 0.0000 0.0000
Ni 0.0000 0.0000 6.5615
F -1.4642 0.0935 5.5224
F -0.8130 -1.2213 7.6006
F 0.6512 -1.3148 5.5224
F -0.6512 1.3148 7.6006
F 0.8130 1.2213 5.5224
F 1.4642 -0.0935 7.6006
```

---

No. 12
The following is a calculated X-ray diffraction stick pattern of MgNi4O4F8. It was derived from the PBE+U geometry in the Materials Project, using λ = 1.5418 Å (Cu Kα).
Kinematic intensities with the Lorentz-polarization factor, no thermal factor.

Main lines, by angle (10° ≤ 2θ ≤ 80°):
| 2θ (°) | I/Imax |
| --- | --- |
| 12.7 | 65.2 |
| 22.7 | 100.0 |
| 25.5 | 83.2 |
| 25.8 | 57.7 |
| 38.7 | 46.4 |
| 45.3 | 31.1 |

Cell and atoms:
```
17
Lattice="4.0034 0.0000 0.0000 0.1296 7.7316 0.0000 0.0909 3.4026 7.1062" Properties=species:S:1:pos:R:3 pbc="T T T"
Mg 0.0000 0.0000 0.0000
Ni 0.3872 7.1917 6.8862
Ni 2.0651 7.8413 2.3033
Ni 2.4347 9.3560 5.6669
Ni 4.1024 5.4963 3.3101
O 0.6301 1.9100 0.4652
O 1.6730 1.9114 1.3354
O 2.9896 3.5746 5.1778
O 3.5197 3.6777 3.9592
F 0.2519 6.3346 5.0905
F 0.2110 4.7450 1.4950
F 0.4089 9.3566 6.1253
F 2.1548 8.8724 3.8815
F 2.1254 6.0079 3.0995
F 2.1576 7.2136 0.2682
F 2.3646 7.6113 6.6223
F 4.0822 7.5272 2.0134
```